No. 1
# Cs2TlHg2F7
Simulated powder X-ray diffraction pattern, Cu Ka. Input: DFT lattice parameters and positions (PBE).
Peak positions follow from Bragg's law for the DFT cell and can differ from measured ones.

Crystal structure
Cell: 4.6835 4.6835 23.7673 Å, 90.00 90.00 90.00°
Space group I4/mmm (No. 139)
Symmetry-distinct sites (fractional):
Cs 0.0000 0.0000 0.1825
Tl 0.0000 0.0000 0.0000
Hg 0.0000 0.0000 0.4037
F 0.0000 0.0000 0.3074
F 0.0000 0.0000 0.5000
F 0.0000 0.5000 0.0922

The 10 most intense peaks (2θ from 5° to 70°), by angle:
2θ/deg  d (Å)  I (rel.)
7.44  11.884  25
26.72  3.336  100
26.92  3.312  60
32.57  2.749  12
37.85  2.377  12
38.44  2.342  33
47.06  1.931  18
47.43  1.917  44
55.05  1.668  16
62.73  1.481  12

No. 2
# Cs3Ho2F9
Simulated powder X-ray diffraction pattern, Cu Ka. Input: DFT lattice parameters and positions (PBE).
Peak positions follow from Bragg's law for the DFT cell and can differ from measured ones.

Crystal structure
Cell: 11.7170 11.7170 15.1714 Å, 90.00 90.00 120.00°
Space group R-3c (No. 167, hexagonal axes)
Symmetry-distinct sites (fractional):
Cs 0.0000 0.3363 0.2500
Ho 0.0000 0.0000 0.1406
F 0.0000 0.1330 0.7500
F 0.0092 0.1693 0.4146

The 10 most intense peaks (2θ from 5° to 70°), by angle:
2θ/deg  d (Å)  I (rel.)
15.12  5.858  27
23.24  3.828  54
25.06  3.553  23
26.35  3.382  100
33.22  2.697  19
35.42  2.534  54
44.69  2.028  19
46.50  1.953  21
47.50  1.914  19
54.24  1.691  22

Question: Which formula does entry 1 have?
Answer: Cs2TlHg2F7

Question: Which formula does entry 1 have?
Answer: Cs2TlHg2F7

Please write out number 2 again, unchanged.
# Cs3Ho2F9
Simulated powder X-ray diffraction pattern, Cu Ka. Input: DFT lattice parameters and positions (PBE).
Peak positions follow from Bragg's law for the DFT cell and can differ from measured ones.

Crystal structure
Cell: 11.7170 11.7170 15.1714 Å, 90.00 90.00 120.00°
Space group R-3c (No. 167, hexagonal axes)
Symmetry-distinct sites (fractional):
Cs 0.0000 0.3363 0.2500
Ho 0.0000 0.0000 0.1406
F 0.0000 0.1330 0.7500
F 0.0092 0.1693 0.4146

The 10 most intense peaks (2θ from 5° to 70°), by angle:
2θ/deg  d (Å)  I (rel.)
15.12  5.858  27
23.24  3.828  54
25.06  3.553  23
26.35  3.382  100
33.22  2.697  19
35.42  2.534  54
44.69  2.028  19
46.50  1.953  21
47.50  1.914  19
54.24  1.691  22